Calculated powder X-ray diffraction pattern of KYW2O8 for Cu Ka, from a DFT-relaxed cell (GGA+U, the Materials Project).
Intensities are scaled so that the largest is 100.

Most intense lines, 2θ = 10–80°, by angle:
13.5 deg, I = 38
16.7 deg, I = 70
23.8 deg, I = 23
27.3 deg, I = 95
28.0 deg, I = 39
29.2 deg, I = 100
31.3 deg, I = 41
33.4 deg, I = 34
33.8 deg, I = 23
46.8 deg, I = 28

Cell lengths 7.6034, 7.6034, 7.4906 Å; angles 117.64, 117.64, 88.31 degrees
Positions (direct):
K1 0.2056 0.7944 0.7500
K2 0.7944 0.2056 0.2500
Y1 0.2231 0.7769 0.2500
Y2 0.7769 0.2231 0.7500
W1 0.3040 0.3081 0.2763
W2 0.3081 0.3040 0.7763
W3 0.6919 0.6960 0.2237
W4 0.6960 0.6919 0.7237
O1 0.0415 0.2141 0.6878
O2 0.0599 0.3681 0.1238
O3 0.2141 0.0415 0.1878
O4 0.2447 0.3798 0.5534
O5 0.3681 0.0599 0.6238
O6 0.3709 0.5944 0.0321
O7 0.3798 0.2447 0.0534
O8 0.4056 0.6291 0.4679
O9 0.5944 0.3709 0.5321
O10 0.6202 0.7553 0.9466
O11 0.6291 0.4056 0.9679
O12 0.6319 0.9401 0.3762
O13 0.7553 0.6202 0.4466
O14 0.7859 0.9585 0.8122
O15 0.9401 0.6319 0.8762
O16 0.9585 0.7859 0.3122



Calculated powder X-ray diffraction pattern of K4ZnW3O12 for Cu Ka, from a DFT-relaxed cell (GGA+U, the Materials Project).
Intensities are scaled so that the largest is 100.

Most intense lines, 2θ = 10–80°, by angle:
17.4 deg, I = 70
18.3 deg, I = 58
20.7 deg, I = 52
22.9 deg, I = 50
25.8 deg, I = 63
26.6 deg, I = 45
27.3 deg, I = 75
28.0 deg, I = 75
28.6 deg, I = 100
29.0 deg, I = 66

Cell lengths 8.0652, 9.9992, 10.3582 Å; angles 95.58, 106.53, 105.48 degrees
Positions (direct):
K1 0.0000 0.0000 0.0000
K2 0.1415 0.8885 0.5676
K3 0.2470 0.4743 0.5298
K4 0.2869 0.7768 0.2409
K5 0.5000 0.0000 0.0000
K6 0.7131 0.2232 0.7591
K7 0.7530 0.5257 0.4702
K8 0.8585 0.1115 0.4324
Zn1 0.3337 0.4394 0.1429
Zn2 0.6663 0.5606 0.8571
W1 0.1110 0.6060 0.8441
W2 0.2722 0.2754 0.8252
W3 0.3768 0.1827 0.3632
W4 0.6232 0.8173 0.6368
W5 0.7278 0.7246 0.1748
W6 0.8890 0.3940 0.1559
O1 0.0587 0.2678 0.7014
O2 0.0966 0.6289 0.6705
O3 0.1160 0.4947 0.1560
O4 0.1838 0.7781 0.9510
O5 0.2017 0.1299 0.4409
O6 0.2640 0.2726 0.0032
O7 0.2777 0.5139 0.9066
O8 0.2920 0.1012 0.7900
O9 0.3312 0.0513 0.2136
O10 0.3834 0.3589 0.3203
O11 0.4040 0.7974 0.5134
O12 0.4702 0.3825 0.7828
O13 0.5298 0.6175 0.2172
O14 0.5960 0.2026 0.4866
O15 0.6166 0.6411 0.6797
O16 0.6688 0.9487 0.7864
O17 0.7080 0.8988 0.2100
O18 0.7223 0.4861 0.0934
O19 0.7360 0.7274 0.9968
O20 0.7983 0.8701 0.5591
O21 0.8162 0.2219 0.0490
O22 0.8840 0.5053 0.8440
O23 0.9034 0.3711 0.3295
O24 0.9413 0.7322 0.2986



Calculated powder X-ray diffraction pattern of LiLaMn4O12 for Cu Ka, from a DFT-relaxed cell (GGA+U, the Materials Project).
Intensities are scaled so that the largest is 100.

Most intense lines, 2θ = 10–80°, by angle:
11.7 deg, I = 40
16.8 deg, I = 54
20.5 deg, I = 86
23.8 deg, I = 30
26.6 deg, I = 45
29.0 deg, I = 26
33.7 deg, I = 100
33.9 deg, I = 50
39.9 deg, I = 29
60.5 deg, I = 45

Cell lengths 7.5761, 5.2885, 5.2885 Å; angles 89.85, 90.00, 90.00 degrees
Positions (direct):
Li1 0.0000 0.0000 0.0000
La1 0.5000 0.4776 0.4776
Mn1 0.2359 0.4896 0.9853
Mn2 0.2359 0.9853 0.4896
Mn3 0.7641 0.4896 0.9853
Mn4 0.7641 0.9853 0.4896
O1 0.0000 0.0129 0.3967
O2 0.0000 0.3967 0.0129
O3 0.1945 0.7824 0.7824
O4 0.2525 0.2743 0.7032
O5 0.2525 0.7032 0.2743
O6 0.2889 0.2211 0.2211
O7 0.5000 0.5233 0.9600
O8 0.5000 0.9600 0.5233
O9 0.7111 0.2211 0.2211
O10 0.7475 0.2743 0.7032
O11 0.7475 0.7032 0.2743
O12 0.8055 0.7824 0.7824



Calculated powder X-ray diffraction pattern of LiLa2MoO6 for Cu Ka, from a DFT-relaxed cell (GGA+U, the Materials Project).
Intensities are scaled so that the largest is 100.

Most intense lines, 2θ = 10–80°, by angle:
18.9 deg, I = 42
22.0 deg, I = 38
30.9 deg, I = 39
31.2 deg, I = 100
31.6 deg, I = 100
31.8 deg, I = 51
44.9 deg, I = 43
45.1 deg, I = 31
55.7 deg, I = 30
56.8 deg, I = 36

Cell lengths 5.6318, 5.7951, 9.7224 Å; angles 90.00, 124.23, 90.00 degrees
Positions (direct):
Li1 0.0000 0.0000 0.0000
Li2 0.0000 0.5000 0.5000
La1 0.2332 0.0585 0.7439
La2 0.2332 0.4415 0.2439
La3 0.7668 0.5585 0.7561
La4 0.7668 0.9415 0.2561
Mo1 0.5000 0.0000 0.5000
Mo2 0.5000 0.5000 0.0000
O1 0.1563 0.1885 0.4509
O2 0.1563 0.3115 0.9509
O3 0.2683 0.7209 0.4472
O4 0.2683 0.7791 0.9472
O5 0.3544 0.0329 0.2561
O6 0.3544 0.4671 0.7561
O7 0.6456 0.5329 0.2439
O8 0.6456 0.9671 0.7439
O9 0.7317 0.2209 0.0528
O10 0.7317 0.2791 0.5528
O11 0.8437 0.6885 0.0491
O12 0.8437 0.8115 0.5491



Number 4 is which compound? LiLa2MoO6